1.
Calculated PXRD pattern of BaSm2TiN4 for Cu Kα, 1.54184 Å, from DFT lattice parameters and positions (PBE).
Neutral-atom scattering factors, no anomalous dispersion.

Cell and atoms:
```
16
Lattice="1.796 -6.269 0.000 1.796 6.269 0.000 0.000 0.000 12.170" Properties=species:S:1:pos:R:3 pbc="T T T"
Ba 1.796 5.037 9.127
Ba 1.796 -5.037 3.042
Sm 1.796 1.629 6.561
Sm 1.796 1.629 11.693
Sm 1.796 -1.629 0.477
Sm 1.796 -1.629 5.608
Ti 1.796 4.112 3.042
Ti 1.796 -4.112 9.127
N 0.000 0.000 0.000
N 0.000 0.000 6.085
N 1.796 3.053 1.480
N 1.796 3.053 4.605
N 1.796 1.216 9.127
N 1.796 -1.216 3.042
N 1.796 -3.053 7.565
N 1.796 -3.053 10.690
```

Peak list (12 most intense, 2θ from 10° to 90°, by angle)
2θ (°), d/Å, I_rel
26.2, 3.406, 62
28.5, 3.134, 52
29.4, 3.041, 48
29.8, 3.003, 100
33.7, 2.658, 39
36.1, 2.486, 68
41.4, 2.183, 24
45.6, 1.989, 26
46.6, 1.948, 24
50.3, 1.815, 27
50.9, 1.796, 19
58.1, 1.589, 22

---

2.
Calculated PXRD pattern of Ba4Sn2N for Cu Kα, 1.54184 Å, from DFT lattice parameters and positions (PBE).
Neutral-atom scattering factors, no anomalous dispersion.

Cell and atoms:
```
7
Lattice="-2.910 2.910 8.199 2.910 -2.910 8.199 2.910 2.910 -8.199" Properties=species:S:1:pos:R:3 pbc="T T T"
Ba 2.910 0.000 0.000
Ba 0.000 0.000 2.635
Ba 0.000 2.910 0.000
Ba 0.000 0.000 13.762
Sn 0.000 0.000 6.199
Sn 0.000 0.000 10.199
N 0.000 0.000 0.000
```

Peak list (12 most intense, 2θ from 10° to 90°, by angle)
2θ (°), d/Å, I_rel
10.8, 8.199, 12
21.6, 4.114, 12
24.2, 3.678, 31
30.8, 2.907, 100
31.3, 2.857, 11
44.0, 2.058, 15
44.4, 2.039, 8
45.5, 1.993, 13
50.8, 1.796, 8
54.7, 1.679, 23
72.7, 1.301, 12
89.1, 1.099, 10

---

3.
Calculated PXRD pattern of Ba3SnN for Cu Kα, 1.54184 Å, from DFT lattice parameters and positions (PBE).
Neutral-atom scattering factors, no anomalous dispersion.

Cell and atoms:
```
10
Lattice="7.778 0.000 0.000 -3.889 6.736 0.000 0.000 0.000 6.787" Properties=species:S:1:pos:R:3 pbc="T T T"
Ba 0.000 2.125 1.697
Ba -2.048 5.673 1.697
Ba 1.840 1.063 5.090
Ba 2.048 5.673 1.697
Ba 5.937 1.063 5.090
Ba 3.889 4.610 5.090
Sn 0.000 4.490 5.090
Sn 3.889 2.245 1.697
N 0.000 0.000 0.000
N 0.000 0.000 3.393
```

Peak list (12 most intense, 2θ from 10° to 90°, by angle)
2θ (°), d/Å, I_rel
26.3, 3.393, 29
26.5, 3.368, 20
29.6, 3.017, 100
37.6, 2.390, 19
46.7, 1.944, 19
48.5, 1.878, 25
54.4, 1.687, 22
56.3, 1.634, 15
69.6, 1.351, 8
74.2, 1.278, 10
76.1, 1.251, 13
88.0, 1.109, 9

---

4.
Calculated PXRD pattern of Ba9Sn3N2 for Cu Kα, 1.54184 Å, from DFT lattice parameters and positions (PBE).
Neutral-atom scattering factors, no anomalous dispersion.

Cell and atoms:
```
14
Lattice="7.905 0.000 0.000 -3.953 6.846 0.000 0.000 0.000 9.746" Properties=species:S:1:pos:R:3 pbc="T T T"
Ba -1.976 3.423 0.000
Ba 0.000 2.382 6.590
Ba -1.889 5.655 6.590
Ba 2.063 1.191 3.156
Ba 3.953 0.000 0.000
Ba 1.976 3.423 0.000
Ba 1.889 5.655 6.590
Ba 5.842 1.191 3.156
Ba 3.953 4.464 3.156
Sn 0.000 0.000 0.000
Sn 0.000 4.564 3.266
Sn 3.953 2.282 6.480
N 0.000 4.564 7.973
N 3.953 2.282 1.773
```

Peak list (12 most intense, 2θ from 10° to 90°, by angle)
2θ (°), d/Å, I_rel
27.5, 3.249, 34
27.6, 3.230, 100
32.0, 2.801, 74
45.7, 1.985, 27
45.9, 1.976, 26
54.1, 1.694, 15
54.4, 1.688, 44
57.0, 1.615, 14
73.9, 1.283, 12
75.8, 1.255, 11
76.1, 1.250, 12
84.9, 1.143, 9

---

5.
Calculated PXRD pattern of BaSnN2 for Cu Kα, 1.54184 Å, from DFT lattice parameters and positions (PBE).
Neutral-atom scattering factors, no anomalous dispersion.

Cell and atoms:
```
16
Lattice="3.123 -6.548 0.000 3.123 6.548 0.000 0.000 0.000 7.948" Properties=species:S:1:pos:R:3 pbc="T T T"
Ba 3.123 4.213 7.280
Ba 3.123 2.335 3.306
Ba 3.123 -2.335 4.642
Ba 3.123 -4.213 0.668
Sn 3.123 5.713 2.770
Sn 3.123 0.835 6.744
Sn 3.123 -0.835 1.204
Sn 3.123 -5.713 5.178
N 3.123 5.290 4.864
N 1.562 1.964 5.961
N 1.562 -1.964 1.987
N 3.123 1.258 0.890
N 3.123 -1.258 7.059
N 4.685 1.964 5.961
N 4.685 -1.964 1.987
N 3.123 -5.290 3.085
```

Peak list (12 most intense, 2θ from 10° to 90°, by angle)
2θ (°), d/Å, I_rel
27.3, 3.263, 97
27.5, 3.248, 100
28.6, 3.123, 74
29.5, 3.027, 47
33.7, 2.659, 14
37.5, 2.398, 28
39.0, 2.311, 33
41.5, 2.174, 46
44.0, 2.060, 19
49.9, 1.828, 37
53.3, 1.719, 18
56.3, 1.633, 24

---

6.
Calculated PXRD pattern of BaTb2SnN4 for Cu Kα, 1.54184 Å, from DFT lattice parameters and positions (PBE).
Neutral-atom scattering factors, no anomalous dispersion.

Cell and atoms:
```
16
Lattice="1.779 -6.235 0.000 1.779 6.235 0.000 0.000 0.000 12.393" Properties=species:S:1:pos:R:3 pbc="T T T"
Ba 1.779 5.008 9.295
Ba 1.779 -5.008 3.098
Tb 1.779 1.620 6.612
Tb 1.779 1.620 11.978
Tb 1.779 -1.620 0.415
Tb 1.779 -1.620 5.781
Sn 1.779 4.134 3.098
Sn 1.779 -4.134 9.295
N 0.000 0.000 0.000
N 0.000 0.000 6.197
N 1.779 3.031 1.371
N 1.779 3.031 4.825
N 1.779 0.919 9.295
N 1.779 -0.919 3.098
N 1.779 -3.031 7.568
N 1.779 -3.031 11.022
```

Peak list (12 most intense, 2θ from 10° to 90°, by angle)
2θ (°), d/Å, I_rel
25.9, 3.444, 23
28.6, 3.118, 46
28.8, 3.098, 52
29.8, 2.995, 100
34.0, 2.639, 37
36.3, 2.478, 83
41.1, 2.198, 27
46.8, 1.940, 20
49.8, 1.831, 18
49.9, 1.827, 20
51.4, 1.779, 18
60.0, 1.543, 21

---

7.
Calculated PXRD pattern of BaSr2N2 for Cu Kα, 1.54184 Å, from DFT lattice parameters and positions (PBE).
Neutral-atom scattering factors, no anomalous dispersion.

Cell and atoms:
```
5
Lattice="-1.978 1.978 7.936 1.978 -1.978 7.936 1.978 1.978 -7.936" Properties=species:S:1:pos:R:3 pbc="T T T"
Ba 0.000 0.000 0.000
Sr 0.000 0.000 5.104
Sr 0.000 0.000 10.769
N 0.000 0.000 2.560
N 0.000 0.000 13.312
```

Peak list (12 most intense, 2θ from 10° to 90°, by angle)
2θ (°), d/Å, I_rel
23.2, 3.839, 11
28.2, 3.169, 100
32.0, 2.798, 54
33.9, 2.645, 21
45.9, 1.978, 19
47.3, 1.922, 31
54.7, 1.678, 32
57.2, 1.611, 11
58.2, 1.584, 16
76.1, 1.251, 8
76.2, 1.249, 10
85.9, 1.131, 11

---

8.
Calculated PXRD pattern of Ba2SrN2 for Cu Kα, 1.54184 Å, from DFT lattice parameters and positions (PBE).
Neutral-atom scattering factors, no anomalous dispersion.

Cell and atoms:
```
10
Lattice="6.051 0.000 0.000 0.000 11.910 0.000 0.000 0.000 3.810" Properties=species:S:1:pos:R:3 pbc="T T T"
Ba 1.513 0.726 0.950
Ba 1.513 5.229 0.950
Ba 4.538 6.681 2.860
Ba 4.538 11.184 2.860
Sr 1.513 8.932 0.949
Sr 4.538 2.977 2.861
N 1.513 7.025 2.852
N 1.513 10.839 2.852
N 4.538 1.071 0.958
N 4.538 4.884 0.958
```

Peak list (12 most intense, 2θ from 10° to 90°, by angle)
2θ (°), d/Å, I_rel
14.9, 5.955, 28
26.9, 3.319, 93
27.7, 3.224, 100
29.5, 3.025, 59
32.6, 2.749, 80
44.5, 2.035, 65
50.8, 1.798, 16
51.2, 1.783, 19
54.3, 1.690, 17
55.6, 1.652, 25
57.1, 1.612, 17
71.1, 1.326, 24